(1)
Ba2OsO4: theoretical PXRD pattern (Cu Kα, 1.54184 Å), based on a DFT-relaxed cell (PBE, Alexandria).
Kinematic intensities with the Lorentz-polarization factor, no thermal factor.

```
data_Ba2OsO4
_chemical_formula_sum 'Ba2 Os1 O4'
_cell_length_a 5.7097
_cell_length_b 5.7097
_cell_length_c 5.7097
_cell_angle_alpha 115.14
_cell_angle_beta 115.14
_cell_angle_gamma 98.65
_symmetry_space_group_name_H-M 'P 1'
_symmetry_Int_Tables_number 1
_symmetry_space_group_name_Hall 'P 1'
loop_
_atom_site_label
_atom_site_fract_x
_atom_site_fract_y
_atom_site_fract_z
Ba1 0.2500 0.7500 0.5000
Ba2 0.7500 0.2500 0.5000
Os1 0.0000 0.0000 0.0000
O1 0.2198 0.2198 0.4397
O2 0.2198 0.7802 0.0000
O3 0.7802 0.2198 0.0000
O4 0.7802 0.7802 0.5603
```

Top 10 peaks for 15 to 90 degrees two-theta, most intense first:
two_theta, I/Imax
31.7, 100
18.8, 70
29.2, 45
53.3, 44
41.7, 29
34.9, 23
66.2, 14
58.0, 14
84.8, 13
39.2, 11

***

(2)
LaZn3NiPd: theoretical PXRD pattern (Cu Kα, 1.54184 Å), based on a DFT-relaxed cell (PBE, Alexandria).
Kinematic intensities with the Lorentz-polarization factor, no thermal factor.

```
data_LaZn3NiPd
_chemical_formula_sum 'La2 Zn6 Ni2 Pd2'
_cell_length_a 7.1147
_cell_length_b 7.1147
_cell_length_c 5.4658
_cell_angle_alpha 90.00
_cell_angle_beta 90.00
_cell_angle_gamma 128.05
_symmetry_space_group_name_H-M 'P 1'
_symmetry_Int_Tables_number 1
_symmetry_space_group_name_Hall 'P 1'
loop_
_atom_site_label
_atom_site_fract_x
_atom_site_fract_y
_atom_site_fract_z
La1 0.2298 0.7702 0.7500
La2 0.7702 0.2298 0.2500
Zn1 0.2052 0.2052 0.0000
Zn2 0.2052 0.2052 0.5000
Zn3 0.3660 0.6340 0.2500
Zn4 0.6340 0.3660 0.7500
Zn5 0.7948 0.7948 0.0000
Zn6 0.7948 0.7948 0.5000
Ni1 0.4355 0.5645 0.7500
Ni2 0.5645 0.4355 0.2500
Pd1 0.1559 0.8441 0.2500
Pd2 0.8441 0.1559 0.7500
```

Top 10 peaks for 15 to 90 degrees two-theta, most intense first:
two_theta, I/Imax
44.1, 100
41.6, 100
31.9, 60
35.7, 52
28.6, 41
30.2, 35
59.8, 33
64.6, 26
32.8, 24
38.0, 23

***

(3)
CsLi4In3F12: theoretical PXRD pattern (Cu Kα, 1.54184 Å), based on a DFT-relaxed cell (PBE, Alexandria).
Kinematic intensities with the Lorentz-polarization factor, no thermal factor.

```
data_CsLi4In3F12
_chemical_formula_sum 'Cs1 Li4 In3 F12'
_cell_length_a 7.3915
_cell_length_b 7.3915
_cell_length_c 7.3915
_cell_angle_alpha 107.28
_cell_angle_beta 107.28
_cell_angle_gamma 107.28
_symmetry_space_group_name_H-M 'P 1'
_symmetry_Int_Tables_number 1
_symmetry_space_group_name_Hall 'P 1'
loop_
_atom_site_label
_atom_site_fract_x
_atom_site_fract_y
_atom_site_fract_z
Cs1 0.0000 0.0000 0.0000
Li1 0.0648 0.5000 0.9352
Li2 0.5000 0.5000 0.5000
Li3 0.5000 0.9352 0.0648
Li4 0.9352 0.0648 0.5000
In1 0.0000 0.5599 0.4400
In2 0.4400 0.0000 0.5599
In3 0.5599 0.4400 0.0000
F1 0.0527 0.6326 0.7604
F2 0.0943 0.9057 0.5000
F3 0.2396 0.3674 0.9473
F4 0.3435 0.6565 0.5000
F5 0.3674 0.9473 0.2396
F6 0.5000 0.0943 0.9057
F7 0.5000 0.3435 0.6565
F8 0.6326 0.7604 0.0527
F9 0.6565 0.5000 0.3435
F10 0.7604 0.0527 0.6326
F11 0.9057 0.5000 0.0943
F12 0.9473 0.2396 0.3674
```

Top 10 peaks for 15 to 90 degrees two-theta, most intense first:
two_theta, I/Imax
20.4, 100
27.9, 65
38.4, 40
25.3, 23
30.0, 20
45.2, 18
55.3, 17
48.0, 16
55.7, 14
50.5, 13